Calculated X-ray diffraction stick pattern of La4Sm2ErSc for a wavelength of 1.5418 Å, from a structure optimized by DFT (GGA-PBE).
Kinematic intensities with the Lorentz-polarization factor, no thermal factor.

Atomic structure:
Unit cell a=5.173 b=5.201 c=9.991 alpha=90.00 beta=90.00 gamma=90.00
Space group Pmmm (No. 47)
One atom of each set of equivalent atoms:
La 0.000 0.000 0.246 x2
La 0.500 0.500 0.246 x2
Sm 0.000 0.500 0.000 x1
Sm 0.500 0.000 0.500 x1
Er 0.000 0.500 0.500 x1
Sc 0.500 0.000 0.000 x1

Main lines, sorted by position (2θ from 10° to 80°):
2θ/deg, d_spacing, intensity
30.23, 2.956, 100
34.49, 2.601, 18
34.68, 2.586, 17
35.95, 2.498, 16
49.72, 1.834, 12
59.17, 1.562, 15
59.43, 1.555, 15
61.12, 1.516, 13